Computed powder XRD pattern
Compound: TaCo3
Radiation: a wavelength of 1.5418 Å
Structure: a DFT-relaxed cell (GGA-PBE, the Materials Project)
Lines closer than 0.1° are merged.

Largest 8 diffraction maxima, by angle, 2θ = 10–90°:
- 3.060 Å, I 40, hkl 1 0 1
- 2.594 Å, I 16, hkl 1 1 0
- 2.247 Å, I 25, hkl 2 0 0
- 2.089 Å, I 27, hkl 0 0 2
- 1.979 Å, I 100, hkl 2 0 1
- 1.297 Å, I 16, hkl 2 2 0
- 1.184 Å, I 18, hkl 2 0 3
- 1.102 Å, I 19, hkl 2 2 2

Structure:
```
TaCo3
1.0
5.1881 0.0000 0.0000
-2.5940 4.4930 0.0000
0.0000 0.0000 4.1783
Ta Co
2 6
direct
0.3333 0.6667 0.2500 Ta
0.6667 0.3333 0.7500 Ta
0.1583 0.3166 0.7500 Co
0.1583 0.8417 0.7500 Co
0.3166 0.1583 0.2500 Co
0.6834 0.8417 0.7500 Co
0.8417 0.1583 0.2500 Co
0.8417 0.6834 0.2500 Co
```